Calculated powder X-ray diffraction pattern of Mg3VO4 for Cu Kα, from a DFT-relaxed cell (PBE+U, Alexandria).

Largest 10 diffraction maxima, by angle, 10 to 90 degrees two-theta:
- (1 0 0), 20.61 deg, 4.309 Å, rel. 12
- (1 1 0), 29.31 deg, 3.047 Å, rel. 9
- (1 1 1), 36.10 deg, 2.488 Å, rel. 21
- (2 0 0), 41.93 deg, 2.155 Å, rel. 100
- (2 1 0), 47.16 deg, 1.927 Å, rel. 4
- (2 1 1), 51.98 deg, 1.759 Å, rel. 3
- (2 2 0), 60.80 deg, 1.523 Å, rel. 56
- (3 0 0), 64.92 deg, 1.436 Å, rel. 2
- (3 1 1), 72.79 deg, 1.299 Å, rel. 11
- (2 2 2), 76.59 deg, 1.244 Å, rel. 17

Structural model:
```
data_Mg3VO4
_chemical_formula_sum 'Mg3 V1 O4'
_space_group_name_H-M_alt 'P m -3 m'
_space_group_IT_number 221
_space_group_name_Hall '-P 4 2 3'
_cell_length_a 4.309
_cell_length_b 4.309
_cell_length_c 4.309
_cell_angle_alpha 90.00
_cell_angle_beta 90.00
_cell_angle_gamma 90.00
loop_
_atom_site_label
_atom_site_fract_x
_atom_site_fract_y
_atom_site_fract_z
Mg1 0.000 0.000 0.500
V1 0.500 0.500 0.500
O1 0.000 0.000 0.000
O2 0.000 0.500 0.500
```